Entry 1:
Cs3H3Pd: theoretical powder X-ray diffraction pattern (λ = 1.5418 Å (Cu Kα)), based on DFT lattice parameters and positions (PBE).
Kinematic intensities with the Lorentz-polarization factor, no thermal factor.

Principal peaks in the range 15° ≤ 2θ ≤ 90°, low angle first:
index	Position (°2θ)	I_rel
0 1 2	26.80	99
2 1 0	27.04	100
1 1 -2	27.28	48
2 1 -1	27.47	24
2 0 -2	28.27	24
0 2 0	30.07	58
2 1 -2	32.11	16
1 2 2	40.74	15
2 2 -2	41.75	16
1 1 4	51.47	31
2 3 0	51.57	17
1 2 -4	54.43	16

Crystal structure
Cell: 8.0919 5.9436 8.1991 Å, 90.00 101.62 90.00°
Space group P2_1/m (No. 11)
Unique sites:
Cs: 0.0922 0.2500 0.2967 [2 per cell]
Cs: 0.3100 0.7500 0.0788 [2 per cell]
Cs: 0.3532 0.7500 0.6143 [2 per cell]
H: 0.0094 0.2500 0.6557 [2 per cell]
H: 0.3257 0.2500 0.9836 [2 per cell]
H: 0.3647 0.2500 0.6384 [2 per cell]
Pd: 0.2099 0.2500 0.7807 [2 per cell]



Entry 2:
NdEr3: theoretical powder X-ray diffraction pattern (λ = 1.5418 Å (Cu Kα)), based on DFT lattice parameters and positions (PBE).
Kinematic intensities with the Lorentz-polarization factor, no thermal factor.

Principal peaks in the range 15° ≤ 2θ ≤ 90°, low angle first:
index	Position (°2θ)	I_rel
0 0 2	28.45	24
0 2 0	31.68	24
1 1 1	32.65	100
0 2 2	43.10	16
2 0 0	50.31	7
1 0 3	50.41	13
1 3 1	57.05	21
2 2 0	60.74	23
2 1 2	61.30	11
0 3 4	79.53	8
2 1 4	83.31	9
2 4 0	87.61	8

Crystal structure
Cell: 3.6270 5.6485 6.2673 Å, 90.00 90.00 90.00°
Space group Pmm2 (No. 25)
Unique sites:
Nd: 0.0000 0.0000 0.0000 [1 per cell]
Er: 0.0000 0.5000 0.6628 [1 per cell]
Er: 0.5000 0.0000 0.4975 [1 per cell]
Er: 0.5000 0.5000 0.1660 [1 per cell]



Entry 3:
Na4Dy3ScSe8: theoretical powder X-ray diffraction pattern (λ = 1.5418 Å (Cu Kα)), based on DFT lattice parameters and positions (PBE).
Kinematic intensities with the Lorentz-polarization factor, no thermal factor.

Principal peaks in the range 15° ≤ 2θ ≤ 90°, low angle first:
index	Position (°2θ)	I_rel
0 2 1	25.46	16
0 2 4	30.41	100
0 2 7	39.34	13
2 0 8	42.87	36
2 2 0	44.21	36
2 2 3	46.17	11
0 0 12	52.30	6
4 0 4	54.61	25
0 4 8	63.28	11
2 2 12	70.84	14
2 4 4	72.78	18
4 2 8	80.42	11

Crystal structure
Cell: 8.1945 8.1945 20.9895 Å, 90.00 90.00 120.00°
Space group R-3m (No. 166, hexagonal axes)
Unique sites:
Na: 0.0000 0.0000 0.0000 [3 per cell]
Na: 0.0000 0.5000 0.0000 [9 per cell]
Dy: 0.0000 0.5000 0.5000 [9 per cell]
Sc: 0.0000 0.0000 0.5000 [3 per cell]
Se: 0.0000 0.0000 0.2437 [6 per cell]
Se: 0.0105 0.5053 0.2417 [18 per cell]



Entry 4:
PmPr2HoTm5: theoretical powder X-ray diffraction pattern (λ = 1.5418 Å (Cu Kα)), based on DFT lattice parameters and positions (PBE).
Kinematic intensities with the Lorentz-polarization factor, no thermal factor.

Principal peaks in the range 15° ≤ 2θ ≤ 90°, low angle first:
index	Position (°2θ)	I_rel
2 1 3	28.82	44
2 2 0	29.14	53
2 0 4	31.00	100
3 1 0	32.67	11
0 0 6	34.75	15
3 2 1	37.88	15
4 0 2	43.41	19
4 1 3	46.67	11
0 0 8	47.02	11
4 2 4	52.85	24
2 2 8	56.28	13
6 1 1	65.82	9

Crystal structure
Cell: 8.6669 8.6669 15.4610 Å, 90.00 90.00 90.00°
Space group I4/mcm (No. 140)
Unique sites:
Pm: 0.0000 0.0000 0.2500 [4 per cell]
Pr: 0.1175 0.3825 0.0000 [8 per cell]
Ho: 0.0000 0.5000 0.2500 [4 per cell]
Tm: 0.0000 0.0000 0.0000 [4 per cell]
Tm: 0.2118 0.2882 0.3604 [16 per cell]



Entry 5:
TbPm4Ho7: theoretical powder X-ray diffraction pattern (λ = 1.5418 Å (Cu Kα)), based on DFT lattice parameters and positions (PBE).
Kinematic intensities with the Lorentz-polarization factor, no thermal factor.

Principal peaks in the range 15° ≤ 2θ ≤ 90°, low angle first:
index	Position (°2θ)	I_rel
0 0 3	30.42	36
2 0 2	31.10	39
1 -2 0	31.63	100
2 1 2	31.89	10
2 0 -1	32.00	52
1 2 2	32.20	34
0 1 3	32.53	17
1 -1 3	34.95	10
1 -2 3	43.34	15
-1 2 3	45.55	12
3 2 1	46.53	13
-3 2 1	56.83	27

Crystal structure
Cell: 6.5468 6.8284 9.0535 Å, 85.02 77.21 81.69°
Space group P-1 (No. 2)
Unique sites:
Tb: 0.0000 0.0000 0.0000 [1 per cell]
Pm: 0.1619 0.6161 0.3080 [2 per cell]
Pm: 0.3620 0.1909 0.7151 [2 per cell]
Ho: 0.0000 0.5000 0.0000 [1 per cell]
Ho: 0.1870 0.1067 0.3832 [2 per cell]
Ho: 0.3192 0.6996 0.6421 [2 per cell]
Ho: 0.4878 0.2478 0.0495 [2 per cell]



Entry 6:
Tl2VAgS4: theoretical powder X-ray diffraction pattern (λ = 1.5418 Å (Cu Kα)), based on DFT lattice parameters and positions (PBE).
Kinematic intensities with the Lorentz-polarization factor, no thermal factor.

Principal peaks in the range 15° ≤ 2θ ≤ 90°, low angle first:
index	Position (°2θ)	I_rel
0 0 4	15.18	47
1 1 3	20.34	59
1 1 5	25.48	77
1 3 1	25.99	38
0 2 6	26.70	83
0 4 0	27.43	48
1 3 3	28.19	71
1 3 5	32.17	100
2 2 0	33.99	78
2 0 6	38.86	42
0 2 10	41.09	33
2 6 0	52.83	32

Crystal structure
Cell: 5.7703 13.0045 23.3397 Å, 90.00 90.00 90.00°
Space group Fddd (No. 70, origin choice 2)
Unique sites:
Tl: 0.1250 0.1250 0.3150 [16 per cell]
V: 0.1250 0.1250 0.6250 [8 per cell]
Ag: 0.1250 0.1250 0.1250 [8 per cell]
S: 0.0790 0.2732 0.8200 [32 per cell]



Entry 7:
Li6Zn23: theoretical powder X-ray diffraction pattern (λ = 1.5418 Å (Cu Kα)), based on DFT lattice parameters and positions (PBE).
Kinematic intensities with the Lorentz-polarization factor, no thermal factor.

Principal peaks in the range 15° ≤ 2θ ≤ 90°, low angle first:
index	Position (°2θ)	I_rel
2 2 2	25.09	27
4 0 0	29.05	13
3 3 3	38.03	17
4 4 0	41.55	100
5 3 1	43.54	26
6 2 0	46.72	7
6 2 2	49.15	22
8 0 0	60.21	9
9 1 1	69.67	11
9 3 1	73.46	7
8 4 4	75.80	19
9 3 3	77.19	11

Crystal structure
Cell: 12.2962 12.2962 12.2962 Å, 90.00 90.00 90.00°
Space group Fm-3m (No. 225)
Unique sites:
Li: 0.0000 0.0000 0.2215 [24 per cell]
Zn: 0.0000 0.0000 0.5000 [4 per cell]
Zn: 0.0000 0.2500 0.2500 [24 per cell]
Zn: 0.1223 0.1223 0.3777 [32 per cell]
Zn: 0.1591 0.1591 0.1591 [32 per cell]



Entry 8:
Cs2GaFeS4: theoretical powder X-ray diffraction pattern (λ = 1.5418 Å (Cu Kα)), based on DFT lattice parameters and positions (PBE).
Kinematic intensities with the Lorentz-polarization factor, no thermal factor.

Principal peaks in the range 15° ≤ 2θ ≤ 90°, low angle first:
index	Position (°2θ)	I_rel
1 1 -1	18.05	43
0 2 1	21.81	36
1 3 0	24.74	100
2 0 0	24.99	36
1 1 1	25.21	61
2 2 -1	28.26	84
0 0 2	33.36	21
2 0 -2	33.52	20
1 3 -2	37.88	56
3 3 0	43.87	28
1 3 2	45.79	21
0 2 3	53.20	21

Crystal structure
Cell: 7.6722 12.5052 5.7830 Å, 90.00 111.76 90.00°
Space group C2 (No. 5)
Unique sites:
Cs: 0.0000 0.0000 0.0000 [2 per cell]
Cs: 0.0000 0.2912 0.5000 [2 per cell]
Ga: 0.0000 0.6490 0.5000 [2 per cell]
Fe: 0.0000 0.6431 0.0000 [2 per cell]
S: 0.1797 0.5464 0.3424 [4 per cell]
S: 0.1806 0.7454 0.8448 [4 per cell]